[1]
Calculated powder XRD pattern
Compound: PaMnZn2N4
Radiation: a wavelength of 1.5418 Å
Structure: DFT lattice parameters and positions (GGA-PBE)

Atomic structure:
```
data_PaMnZn2N4
_chemical_formula_sum 'Pa4 Mn4 Zn8 N16'
_symmetry_space_group_name_H-M 'F m m 2'
_symmetry_Int_Tables_number 42
_symmetry_space_group_name_Hall 'F 2 -2'
_cell_length_a 6.8679
_cell_length_b 6.8958
_cell_length_c 9.1101
_cell_angle_alpha 90.00
_cell_angle_beta 90.00
_cell_angle_gamma 90.00
loop_
_atom_site_label
_atom_site_fract_x
_atom_site_fract_y
_atom_site_fract_z
Pa1 0.0000 0.0000 0.0000
Mn1 0.0000 0.0000 0.5017
Zn1 0.2500 0.2500 0.2510
N1 0.0000 0.2283 0.3770
N2 0.2296 0.0000 0.6268
```

Principal peaks in the range 2θ from 10° to 90°, in order of falling intensity:
- d 2.746, 32.61°, rel. 100, hkl 2 0 2
- d 4.292, 20.69°, rel. 43, hkl 1 1 1
- d 2.433, 36.94°, rel. 27, hkl 2 2 0
- d 1.663, 55.25°, rel. 26, hkl 2 2 4
- d 1.459, 63.77°, rel. 14, hkl 2 4 2
- d 1.456, 63.93°, rel. 14, hkl 4 2 2
- d 2.576, 34.82°, rel. 14, hkl 1 1 3
- d 1.389, 67.42°, rel. 12, hkl 0 2 6
- d 2.278, 39.57°, rel. 11, hkl 0 0 4
- d 4.555, 19.49°, rel. 9, hkl 0 0 2

[2]
Calculated powder XRD pattern
Compound: Y4Ho3
Radiation: a wavelength of 1.5418 Å
Structure: DFT lattice parameters and positions (GGA-PBE)

Atomic structure:
```
data_Y4Ho3
_chemical_formula_sum 'Y8 Ho6'
_symmetry_space_group_name_H-M 'I m m m'
_symmetry_Int_Tables_number 71
_symmetry_space_group_name_Hall '-I 2 2'
_cell_length_a 3.5468
_cell_length_b 5.0240
_cell_length_c 24.8807
_cell_angle_alpha 90.00
_cell_angle_beta 90.00
_cell_angle_gamma 90.00
loop_
_atom_site_label
_atom_site_fract_x
_atom_site_fract_y
_atom_site_fract_z
Y1 0.0000 0.0000 0.0713
Y2 0.0000 0.0000 0.2139
Ho1 0.0000 0.0000 0.3575
Ho2 0.0000 0.0000 0.5000
```

Principal peaks in the range 2θ from 10° to 90°, in order of falling intensity:
- d 2.900, 30.84°, rel. 100, hkl 1 1 0
- d 2.511, 35.76°, rel. 50, hkl 1 0 7
- d 1.514, 61.21°, rel. 42, hkl 2 1 7
- d 1.776, 51.45°, rel. 29, hkl 1 2 7
- d 1.123, 86.68°, rel. 13, hkl 2 2 14
- d 1.153, 83.94°, rel. 9, hkl 1 3 14
- d 1.152, 84.05°, rel. 9, hkl 3 1 0
- d 4.925, 18.01°, rel. 6, hkl 0 1 1
- d 1.451, 64.20°, rel. 6, hkl 0 2 14
- d 1.449, 64.30°, rel. 6, hkl 2 2 0